Theoretical X-ray powder pattern
Compound: LiTiNb2P
Radiation: Cu Kα (λ = 1.5418 Å)
Structure: a cell relaxed with GGA-PBE
Intensities are scaled so that the largest is 100.

Structure:
Cell: 4.4501 4.4501 3.9285 Å, 90.00 90.00 90.00°
Space group P4/mmm (No. 123)
One atom of each set of equivalent atoms:
1 Li 0.0000 0.0000 0.0000 x1
2 Ti 0.5000 0.5000 0.5000 x1
3 Nb 0.0000 0.5000 0.0000 x2
4 P 0.0000 0.0000 0.5000 x1

The 10 most intense peaks (15 to 90 degrees two-theta), in order of rising 2θ:
| index | 2θ (°) | intensity |
| --- | --- | --- |
| 0 0 1 | 22.63 | 17.2 |
| 1 1 0 | 28.36 | 16.4 |
| 1 1 1 | 36.59 | 100.0 |
| 2 0 0 | 40.54 | 40.0 |
| 0 0 2 | 46.22 | 13.5 |
| 2 0 1 | 46.93 | 10.1 |
| 2 2 0 | 58.68 | 12.9 |
| 2 0 2 | 63.14 | 20.5 |
| 3 1 1 | 71.17 | 26.2 |
| 2 2 2 | 77.78 | 11.0 |

Theoretical X-ray powder pattern
Compound: Au2I3Br6
Radiation: Cu Kα (λ = 1.5418 Å)
Structure: a cell relaxed with GGA-PBE
Intensities are scaled so that the largest is 100.

Structure:
Cell: 14.0442 7.6387 16.5221 Å, 90.00 98.42 90.00°
Space group C2/c (No. 15)
One atom of each set of equivalent atoms:
1 Au 0.1689 0.0421 0.4959 x8
2 I 0.0000 0.3240 0.2500 x4
3 I 0.1690 0.1227 0.7525 x8
4 Br 0.0680 0.1419 0.5982 x8
5 Br 0.1099 0.3427 0.3983 x8
6 Br 0.2309 0.3870 0.0923 x8

The 10 most intense peaks (15 to 90 degrees two-theta), in order of rising 2θ:
| index | 2θ (°) | intensity |
| --- | --- | --- |
| 3 1 0 | 22.44 | 100.0 |
| 0 2 1 | 23.93 | 69.3 |
| 0 2 2 | 25.74 | 25.0 |
| 3 1 -3 | 26.14 | 60.8 |
| 3 1 -4 | 29.38 | 30.7 |
| 3 1 4 | 33.42 | 64.6 |
| 3 3 -2 | 41.18 | 40.0 |
| 6 0 -4 | 41.94 | 31.1 |
| 0 2 7 | 45.53 | 22.2 |
| 3 1 -8 | 47.45 | 23.3 |